Entry 1:
# MnZnO2
Calculated PXRD pattern, Cu Kα. Input: a cell relaxed with PBE+U.
Neutral-atom scattering factors, no anomalous dispersion.

Most intense lines, 10° ≤ 2θ ≤ 90°, low angle first:
h k l	d [Å]	2θ/deg	I (rel.)
0 1 -2	3.153	28.31	44
1 1 -1	2.755	32.50	32
-1 1 1	2.699	33.19	53
0 0 3	2.627	34.13	56
0 3 0	2.580	34.78	36
0 2 3	2.561	35.04	34
0 3 2	2.531	35.46	100
1 -1 1	2.490	36.06	30
1 0 -2	2.468	36.40	46
0 1 -3	2.289	39.35	36

Crystal structure
Lattice parameters (Å, degrees): 3.140 8.208 8.270 72.57 88.70 81.20
Fractional coordinates of all 16 atoms:
Mn  0.000  0.000  0.000
Mn  0.001  0.575  0.671
Mn  0.366  0.952  0.352
Mn  0.609  0.249  0.596
Zn  0.041  0.901  0.689
Zn  0.068  0.586  0.284
Zn  0.582  0.687  0.928
Zn  0.700  0.319  0.077
O  0.060  0.420  0.513
O  0.144  0.107  0.759
O  0.277  0.154  0.124
O  0.411  0.747  0.559
O  0.554  0.474  0.836
O  0.600  0.529  0.159
O  0.743  0.053  0.468
O  0.979  0.842  0.237

Entry 2:
# MnZnO2
Calculated PXRD pattern, Cu Kα. Input: a cell relaxed with PBE+U.
Neutral-atom scattering factors, no anomalous dispersion.

Most intense lines, 10° ≤ 2θ ≤ 90°, low angle first:
h k l	d [Å]	2θ/deg	I (rel.)
0 0 2	4.242	20.94	77
0 2 0	4.079	21.79	53
0 2 2	2.904	30.79	59
1 -1 1	2.723	32.89	100
0 1 -3	2.693	33.27	62
1 0 -2	2.624	34.17	45
0 3 -1	2.609	34.38	39
0 3 1	2.571	34.90	52
1 2 0	2.435	36.92	58
-1 2 2	2.222	40.60	38

Crystal structure
Lattice parameters (Å, degrees): 3.131 8.165 8.519 91.26 94.97 91.95
Fractional coordinates of all 16 atoms:
Mn  0.018  0.253  0.072
Mn  0.284  0.088  0.716
Mn  0.716  0.912  0.284
Mn  0.982  0.747  0.928
Zn  0.241  0.753  0.615
Zn  0.353  0.585  0.248
Zn  0.647  0.415  0.752
Zn  0.759  0.247  0.385
O  0.165  0.568  0.756
O  0.213  0.109  0.270
O  0.236  0.772  0.393
O  0.478  0.247  0.915
O  0.522  0.753  0.085
O  0.764  0.228  0.607
O  0.787  0.891  0.730
O  0.835  0.432  0.244

Entry 3:
# Mn9Zn3O16
Calculated PXRD pattern, Cu Kα. Input: a cell relaxed with PBE+U.
Neutral-atom scattering factors, no anomalous dispersion.

Most intense lines, 10° ≤ 2θ ≤ 90°, low angle first:
h k l	d [Å]	2θ/deg	I (rel.)
1 1 2	3.102	28.78	42
2 0 0	2.931	30.49	18
1 0 3	2.752	32.53	71
2 1 1	2.525	35.56	100
2 2 0	2.073	43.67	14
1 0 5	1.782	51.27	22
3 1 2	1.723	53.14	13
3 2 1	1.602	57.53	31
2 2 4	1.551	59.61	54
4 0 0	1.466	63.47	21

Crystal structure
Lattice parameters (Å, degrees): 5.863 5.863 9.351 90.00 90.00 90.00
Fractional coordinates of all 28 atoms:
Mn  0.000  0.000  0.000
Mn  0.000  0.251  0.377
Mn  0.000  0.749  0.377
Mn  0.251  0.000  0.623
Mn  0.251  0.500  0.127
Mn  0.500  0.251  0.873
Mn  0.500  0.749  0.873
Mn  0.749  0.000  0.623
Mn  0.749  0.500  0.127
Zn  0.000  0.500  0.749
Zn  0.500  0.000  0.251
Zn  0.500  0.500  0.500
O  0.000  0.225  0.619
O  0.000  0.279  0.134
O  0.000  0.721  0.134
O  0.000  0.775  0.619
O  0.225  0.000  0.381
O  0.225  0.500  0.371
O  0.273  0.500  0.881
O  0.279  0.000  0.866
O  0.500  0.225  0.629
O  0.500  0.273  0.119
O  0.500  0.727  0.119
O  0.500  0.775  0.629
O  0.721  0.000  0.866
O  0.727  0.500  0.881
O  0.775  0.000  0.381
O  0.775  0.500  0.371

Entry 4:
# Mn3ZnO10
Calculated PXRD pattern, Cu Kα. Input: a cell relaxed with PBE+U.
Neutral-atom scattering factors, no anomalous dispersion.

Most intense lines, 10° ≤ 2θ ≤ 90°, low angle first:
h k l	d [Å]	2θ/deg	I (rel.)
0 0 1	7.524	11.76	100
0 1 0	6.524	13.57	5
0 0 2	3.762	23.65	9
1 -2 0	2.532	35.46	12
2 3 1	2.502	35.89	3
2 3 2	2.492	36.04	5
3 1 0	2.345	38.39	10
2 3 3	2.249	40.10	5
1 -2 2	2.028	44.68	6
5 4 3	1.458	63.83	3

Crystal structure
Lattice parameters (Å, degrees): 7.740 7.741 8.507 66.77 65.63 60.24
Fractional coordinates of all 28 atoms:
Mn  0.074  0.287  0.496
Mn  0.215  0.858  0.501
Mn  0.358  0.430  0.497
Mn  0.642  0.570  0.503
Mn  0.785  0.142  0.499
Mn  0.926  0.713  0.504
Zn  0.439  0.939  0.705
Zn  0.561  0.061  0.295
O  0.027  0.851  0.016
O  0.068  0.130  0.369
O  0.083  0.437  0.627
O  0.197  0.017  0.637
O  0.205  0.704  0.374
O  0.212  0.737  0.994
O  0.335  0.309  0.350
O  0.362  0.585  0.630
O  0.492  0.925  0.999
O  0.493  0.829  0.364
O  0.507  0.171  0.636
O  0.508  0.075  0.001
O  0.638  0.415  0.370
O  0.665  0.691  0.650
O  0.788  0.263  0.006
O  0.795  0.296  0.626
O  0.803  0.983  0.363
O  0.917  0.563  0.373
O  0.932  0.870  0.631
O  0.973  0.149  0.984